Simulated powder X-ray diffraction pattern
Compound: VCu2Se4
Radiation: Cu Kα (λ = 1.5418 Å)
Structure: DFT lattice parameters and positions (PBE)
No peak broadening, texture or thermal motion is included.

```
VCu2Se4
1.0
5.573 0.000 0.000
0.000 5.573 0.000
0.000 0.000 5.680
V Cu Se
1 2 4
direct
0.000 0.000 0.000
0.000 0.500 0.000
0.500 0.000 0.000
0.235 0.235 0.245
0.235 0.765 0.755
0.765 0.235 0.755
0.765 0.765 0.245
```

The 6 most intense peaks (10° ≤ 2θ ≤ 80°), low angle first:
two_theta, intensity
15.6, 36
27.5, 100
45.6, 57
46.1, 27
53.7, 15
54.5, 27

Simulated powder X-ray diffraction pattern
Compound: VCu3Se4
Radiation: Cu Kα (λ = 1.5418 Å)
Structure: DFT lattice parameters and positions (PBE)
No peak broadening, texture or thermal motion is included.

```
VCu3Se4
1.0
5.635 0.000 0.000
0.000 5.635 0.000
0.000 0.000 5.635
V Cu Se
1 3 4
direct
0.000 0.000 0.000
0.000 0.000 0.500
0.000 0.500 0.000
0.500 0.000 0.000
0.243 0.243 0.243
0.243 0.757 0.757
0.757 0.243 0.757
0.757 0.757 0.243
```

The 6 most intense peaks (10° ≤ 2θ ≤ 80°), low angle first:
two_theta, intensity
15.7, 42
27.4, 100
45.5, 96
54.0, 43
66.3, 15
73.2, 17

Simulated powder X-ray diffraction pattern
Compound: CuWSe
Radiation: Cu Kα (λ = 1.5418 Å)
Structure: DFT lattice parameters and positions (PBE)
No peak broadening, texture or thermal motion is included.

```
CuWSe
1.0
5.611 0.000 0.000
0.000 3.147 0.000
-1.566 0.000 6.075
Cu W Se
2 2 2
direct
0.000 0.000 0.000
0.375 0.500 0.934
0.546 0.000 0.645
0.939 0.500 0.656
0.098 0.000 0.403
0.567 0.500 0.337
```

The 6 most intense peaks (10° ≤ 2θ ≤ 80°), low angle first:
two_theta, intensity
14.6, 100
33.0, 38
34.4, 97
41.7, 44
44.8, 23
47.6, 44

Simulated powder X-ray diffraction pattern
Compound: Y7CuSe5
Radiation: Cu Kα (λ = 1.5418 Å)
Structure: DFT lattice parameters and positions (PBE)
No peak broadening, texture or thermal motion is included.

```
Y7CuSe5
1.0
6.663 -2.012 0.000
6.663 2.012 0.000
-0.003 0.000 24.316
Y Cu Se
14 2 10
direct
0.044 0.044 0.250
0.138 0.138 0.538
0.138 0.138 0.962
0.304 0.304 0.180
0.304 0.304 0.320
0.412 0.412 0.614
0.412 0.412 0.886
0.588 0.588 0.114
0.588 0.588 0.386
0.696 0.696 0.680
0.696 0.696 0.820
0.862 0.862 0.038
0.862 0.862 0.462
0.956 0.956 0.750
0.300 0.300 0.750
0.700 0.700 0.250
0.053 0.053 0.645
0.053 0.053 0.855
0.222 0.222 0.071
0.222 0.222 0.429
0.500 0.500 0.000
0.500 0.500 0.500
0.778 0.778 0.571
0.778 0.778 0.929
0.947 0.947 0.145
0.947 0.947 0.355
```

The 6 most intense peaks (10° ≤ 2θ ≤ 80°), low angle first:
two_theta, intensity
29.0, 70
30.9, 100
32.0, 86
32.4, 46
44.9, 69
45.0, 41